Entry 1:
Starting from a GGA-PBE-relaxed structure, the powder X-ray diffraction pattern of UPa2FeN5 was calculated for a wavelength of 1.5418 Å.
Peak positions follow from Bragg's law for the DFT cell and can differ from measured ones.

Atomic structure:
Cell lengths 6.4796, 6.4796, 5.4649 Å; angles 90.00, 90.00, 90.00 degrees
Space group P4/mbm (No. 127)
Unique sites:
U 0.0000 0.0000 0.0000 (multiplicity 2)
Pa 0.1670 0.3330 0.5000 (multiplicity 4)
Fe 0.0000 0.5000 0.0000 (multiplicity 2)
N 0.0000 0.0000 0.5000 (multiplicity 2)
N 0.1539 0.6539 0.2300 (multiplicity 8)

Top 12 peaks for 2θ from 10° to 90°, most intense first:
| 2θ (°) | Rel. int. | (hkl) |
| --- | --- | --- |
| 32.1 | 100 | 2 0 1 |
| 35.1 | 76 | 2 1 1 |
| 25.4 | 49 | 1 1 1 |
| 32.8 | 47 | 0 0 2 |
| 45.6 | 44 | 2 1 2 |
| 30.9 | 39 | 2 1 0 |
| 44.2 | 32 | 3 1 0 |
| 56.1 | 26 | 3 1 2 |
| 63.2 | 23 | 3 3 1 |
| 39.3 | 21 | 2 2 0 |
| 58.1 | 20 | 2 0 3 |
| 59.5 | 17 | 4 0 1 |

Entry 2:
Starting from a GGA-PBE-relaxed structure, the powder X-ray diffraction pattern of FePb2N was calculated for a wavelength of 1.5418 Å.
Peak positions follow from Bragg's law for the DFT cell and can differ from measured ones.

Atomic structure:
Cell lengths 6.7256, 6.7256, 7.2712 Å; angles 90.00, 90.00, 90.00 degrees
Space group I-42d (No. 122)
Unique sites:
Fe 0.0000 0.0000 0.0000 (multiplicity 4)
Pb 0.2002 0.2500 0.6250 (multiplicity 8)
N 0.0000 0.0000 0.5000 (multiplicity 4)

Top 12 peaks for 2θ from 10° to 90°, most intense first:
| 2θ (°) | Rel. int. | (hkl) |
| --- | --- | --- |
| 31.0 | 100 | 1 1 2 |
| 26.5 | 41 | 2 0 0 |
| 49.7 | 37 | 3 1 2 |
| 37.8 | 31 | 2 2 0 |
| 32.2 | 27 | 2 1 1 |
| 57.6 | 22 | 2 0 4 |
| 71.3 | 11 | 4 3 1 |
| 42.2 | 11 | 3 0 1 |
| 50.5 | 11 | 3 2 1 |
| 62.9 | 9 | 3 2 3 |
| 57.9 | 9 | 4 1 1 |
| 54.6 | 7 | 4 0 0 |

Entry 3:
Starting from a GGA-PBE-relaxed structure, the powder X-ray diffraction pattern of Ta2FePdN was calculated for a wavelength of 1.5418 Å.
Peak positions follow from Bragg's law for the DFT cell and can differ from measured ones.

Atomic structure:
Cell lengths 4.2315, 4.2315, 3.8262 Å; angles 90.00, 90.00, 90.00 degrees
Space group P4/mmm (No. 123)
Unique sites:
Ta 0.0000 0.5000 0.0000 (multiplicity 2)
Fe 0.0000 0.0000 0.5000 (multiplicity 1)
Pd 0.5000 0.5000 0.5000 (multiplicity 1)
N 0.0000 0.0000 0.0000 (multiplicity 1)

Top 12 peaks for 2θ from 10° to 90°, most intense first:
| 2θ (°) | Rel. int. | (hkl) |
| --- | --- | --- |
| 38.2 | 100 | 1 1 1 |
| 42.7 | 40 | 2 0 0 |
| 75.2 | 28 | 3 1 1 |
| 65.8 | 22 | 2 0 2 |
| 47.5 | 15 | 0 0 2 |
| 23.2 | 14 | 0 0 1 |
| 62.0 | 13 | 2 2 0 |
| 81.7 | 12 | 2 2 2 |
| 82.2 | 11 | 1 1 3 |
| 29.9 | 11 | 1 1 0 |
| 49.2 | 8 | 2 0 1 |
| 57.1 | 4 | 1 1 2 |

Entry 4:
Starting from a GGA-PBE-relaxed structure, the powder X-ray diffraction pattern of PmFeN2 was calculated for a wavelength of 1.5418 Å.
Peak positions follow from Bragg's law for the DFT cell and can differ from measured ones.

Atomic structure:
Cell lengths 5.4459, 5.4459, 6.2771 Å; angles 90.00, 90.00, 120.00 degrees
Space group P3_121 (No. 152)
Unique sites:
Pm 0.0000 0.6498 0.1667 (multiplicity 3)
Fe 0.0000 0.5886 0.6667 (multiplicity 3)
N 0.1190 0.4271 0.8760 (multiplicity 6)

Top 12 peaks for 2θ from 10° to 90°, most intense first:
| 2θ (°) | Rel. int. | (hkl) |
| --- | --- | --- |
| 34.3 | 100 | 1 0 2 |
| 32.9 | 97 | 1 1 0 |
| 23.6 | 47 | 0 1 1 |
| 48.3 | 42 | 0 2 2 |
| 59.7 | 34 | 2 1 2 |
| 40.9 | 24 | 2 0 1 |
| 53.4 | 19 | 1 2 1 |
| 62.4 | 18 | 0 1 4 |
| 58.7 | 15 | 3 0 0 |
| 81.8 | 15 | 1 2 4 |
| 55.4 | 12 | 1 1 3 |
| 79.4 | 11 | 1 3 2 |